This entry pairs a crystal structure of Cs2KScI6 with its theoretical powder XRD pattern. Radiation: Cu Kα, 1.54184 Å. Structure: a structure optimized by DFT (PBE).

Atomic structure:
```
Cs2KScI6
1.0
0.000 6.294 6.294
6.294 0.000 6.294
6.294 6.294 0.000
Cs K Sc I
2 1 1 6
direct
0.250 0.250 0.250
0.750 0.750 0.750
0.000 0.000 0.000
0.500 0.500 0.500
0.270 0.270 0.730
0.270 0.730 0.270
0.270 0.730 0.730
0.730 0.270 0.270
0.730 0.270 0.730
0.730 0.730 0.270
```

Main lines, by intensity (10 to 90 degrees two-theta):
| 2θ (°) | d/Å | intensity |
| --- | --- | --- |
| 24.5 | 3.634 | 100 |
| 28.4 | 3.147 | 73 |
| 40.5 | 2.225 | 51 |
| 47.9 | 1.898 | 42 |
| 66.4 | 1.407 | 20 |
| 50.2 | 1.817 | 17 |
| 64.5 | 1.444 | 15 |
| 73.7 | 1.285 | 14 |
| 79.1 | 1.211 | 10 |
| 37.1 | 2.422 | 9 |

This entry pairs a crystal structure of La3Ce with its theoretical powder XRD pattern. Radiation: Cu Kα, 1.54184 Å. Structure: a structure optimized by DFT (PBE).

Atomic structure:
```
La3Ce
1.0
-2.528 2.528 5.243
2.528 -2.528 5.243
2.528 2.528 -5.243
La Ce
3 1
direct
0.000 0.000 0.000
0.250 0.750 0.500
0.750 0.250 0.500
0.500 0.500 0.000
```

Main lines, by intensity (10 to 90 degrees two-theta):
| 2θ (°) | d/Å | intensity |
| --- | --- | --- |
| 30.3 | 2.954 | 100 |
| 35.5 | 2.528 | 33 |
| 60.5 | 1.529 | 28 |
| 50.1 | 1.820 | 24 |
| 34.2 | 2.621 | 18 |
| 58.8 | 1.570 | 15 |
| 62.9 | 1.477 | 12 |
| 81.6 | 1.180 | 12 |
| 51.1 | 1.787 | 12 |
| 83.0 | 1.164 | 6 |

This entry pairs a crystal structure of Pb5S2I6 with its theoretical powder XRD pattern. Radiation: Cu Kα, 1.54184 Å. Structure: a structure optimized by DFT (PBE).

Atomic structure:
```
Pb5S2I6
1.0
7.533 -2.259 0.000
7.533 2.259 0.000
-2.214 0.000 14.846
Pb S I
5 2 6
direct
0.000 0.000 0.000
0.131 0.131 0.472
0.224 0.224 0.758
0.776 0.776 0.242
0.869 0.869 0.528
0.285 0.285 0.594
0.715 0.715 0.406
0.122 0.122 0.202
0.370 0.370 0.066
0.418 0.418 0.357
0.582 0.582 0.643
0.630 0.630 0.934
0.878 0.878 0.798
```

Main lines, by intensity (10 to 90 degrees two-theta):
| 2θ (°) | d/Å | intensity |
| --- | --- | --- |
| 26.8 | 3.332 | 100 |
| 28.0 | 3.189 | 46 |
| 25.2 | 3.537 | 32 |
| 39.9 | 2.258 | 28 |
| 23.9 | 3.716 | 20 |
| 37.4 | 2.405 | 18 |
| 31.1 | 2.878 | 18 |
| 28.4 | 3.146 | 17 |
| 15.6 | 5.695 | 17 |
| 46.9 | 1.937 | 16 |

This entry pairs a crystal structure of Mg14CdSnO16 with its theoretical powder XRD pattern. Radiation: Cu Kα, 1.54184 Å. Structure: a structure optimized by DFT (PBE).

Atomic structure:
```
Mg14CdSnO16
1.0
8.736 0.000 0.000
0.000 8.736 0.000
0.000 0.000 4.406
Mg Cd Sn O
14 1 1 16
direct
0.000 0.254 0.000
0.000 0.500 0.500
0.000 0.746 0.000
0.241 0.500 0.000
0.248 0.248 0.500
0.248 0.752 0.500
0.254 0.000 0.000
0.500 0.000 0.500
0.500 0.241 0.000
0.500 0.759 0.000
0.746 0.000 0.000
0.752 0.248 0.500
0.752 0.752 0.500
0.759 0.500 0.000
0.000 0.000 0.500
0.500 0.500 0.500
0.000 0.000 0.000
0.000 0.262 0.500
0.000 0.500 0.000
0.000 0.738 0.500
0.230 0.500 0.500
0.250 0.250 0.000
0.250 0.750 0.000
0.262 0.000 0.500
0.500 0.000 0.000
0.500 0.230 0.500
0.500 0.500 0.000
0.500 0.770 0.500
0.738 0.000 0.500
0.750 0.250 0.000
0.750 0.750 0.000
0.770 0.500 0.500
```

Main lines, by intensity (10 to 90 degrees two-theta):
| 2θ (°) | d/Å | intensity |
| --- | --- | --- |
| 41.3 | 2.184 | 100 |
| 59.6 | 1.551 | 60 |
| 41.0 | 2.203 | 52 |
| 14.3 | 6.177 | 48 |
| 35.5 | 2.529 | 48 |
| 24.8 | 3.587 | 34 |
| 20.3 | 4.368 | 30 |
| 59.9 | 1.544 | 29 |
| 75.1 | 1.265 | 28 |
| 28.8 | 3.102 | 26 |

This entry pairs a crystal structure of KH5O3 with its theoretical powder XRD pattern. Radiation: Cu Kα, 1.54184 Å. Structure: a structure optimized by DFT (PBE).

Atomic structure:
```
KH5O3
1.0
5.250 -5.196 0.000
5.250 5.196 0.000
-4.979 0.000 6.664
K H O
4 20 12
direct
0.113 0.613 0.232
0.131 0.131 0.265
0.387 0.887 0.768
0.869 0.869 0.735
0.073 0.124 0.584
0.073 0.471 0.585
0.202 0.284 0.904
0.205 0.621 0.900
0.322 0.375 0.752
0.370 0.258 0.089
0.379 0.795 0.100
0.524 0.452 0.400
0.529 0.927 0.415
0.547 0.138 0.598
0.548 0.476 0.600
0.625 0.678 0.248
0.629 0.187 0.268
0.715 0.252 0.086
0.716 0.798 0.096
0.742 0.630 0.911
0.748 0.285 0.914
0.813 0.371 0.732
0.862 0.453 0.402
0.876 0.927 0.416
0.006 0.536 0.494
0.030 0.970 0.500
0.183 0.373 0.737
0.217 0.230 0.000
0.230 0.770 0.000
0.464 0.994 0.506
0.473 0.527 0.500
0.614 0.304 0.240
0.627 0.817 0.263
0.696 0.386 0.760
0.770 0.783 0.000
0.788 0.212 0.000
```

Main lines, by intensity (10 to 90 degrees two-theta):
| 2θ (°) | d/Å | intensity |
| --- | --- | --- |
| 35.8 | 2.509 | 100 |
| 36.9 | 2.439 | 91 |
| 34.2 | 2.625 | 62 |
| 28.0 | 3.187 | 48 |
| 34.5 | 2.598 | 37 |
| 49.4 | 1.846 | 34 |
| 13.5 | 6.538 | 30 |
| 13.9 | 6.382 | 30 |
| 33.7 | 2.660 | 24 |
| 33.1 | 2.707 | 22 |

This entry pairs a crystal structure of RbCaH3 with its theoretical powder XRD pattern. Radiation: Cu Kα, 1.54184 Å. Structure: a structure optimized by DFT (PBE).

Atomic structure:
```
RbCaH3
1.0
4.544 0.000 0.000
0.000 4.544 0.000
0.000 0.000 4.544
Rb Ca H
1 1 3
direct
0.000 0.000 0.000
0.500 0.500 0.500
0.000 0.500 0.500
0.500 0.000 0.500
0.500 0.500 0.000
```

Main lines, by intensity (10 to 90 degrees two-theta):
| 2θ (°) | d/Å | intensity |
| --- | --- | --- |
| 27.8 | 3.213 | 100 |
| 49.1 | 1.855 | 39 |
| 39.7 | 2.272 | 20 |
| 78.8 | 1.215 | 19 |
| 64.9 | 1.437 | 17 |
| 57.3 | 1.607 | 13 |
| 19.5 | 4.544 | 12 |
| 44.6 | 2.032 | 6 |
| 34.2 | 2.624 | 6 |
| 72.0 | 1.312 | 4 |